No. 1
Structure and calculated X-ray diffraction stick pattern of ErPuO (a DFT-relaxed cell (PBE, Alexandria); Cu Kα).
Peak positions follow from Bragg's law for the DFT cell and can differ from measured ones.

Main lines, sorted by position (2θ from 5° to 70°):
d [Å]	I (rel.)	hkl
2.890	63	2 0 0
2.851	53	0 0 2
2.819	100	1 2 -1
2.615	49	2 0 -2
2.396	74	1 2 1
1.776	28	3 2 -1
1.758	28	1 2 -3
1.546	22	2 0 -4
1.471	13	3 2 1
1.444	17	4 0 0

Cell and atoms:
Cell: 6.2971 6.6946 6.2143 Å, 90.00 113.44 90.00°
Space group P2_1/c (No. 14)
One atom of each set of equivalent atoms:
Er 0.0038 0.1406 0.2797 x4
Pu 0.4734 0.6014 0.7414 x4
O 0.2148 0.6262 0.9863 x4

=====

No. 2
Structure and calculated X-ray diffraction stick pattern of ErPuTlO6 (a DFT-relaxed cell (PBE, Alexandria); Cu Kα).
Peak positions follow from Bragg's law for the DFT cell and can differ from measured ones.

Main lines, sorted by position (2θ from 5° to 70°):
d [Å]	I (rel.)	hkl
4.869	11	0 0 2
3.489	100	1 0 2
2.888	58	1 1 0
2.484	11	1 1 2
2.435	10	0 0 4
2.225	29	2 0 2
1.862	45	1 1 4
1.763	30	2 1 2
1.668	17	3 0 0
1.376	12	3 0 4

Cell and atoms:
Cell: 5.7766 5.7766 9.7386 Å, 90.00 90.00 120.00°
Space group P-31c (No. 163)
One atom of each set of equivalent atoms:
Er 0.3333 0.6667 0.2500 x2
Pu 0.3333 0.6667 0.7500 x2
Tl 0.0000 0.0000 0.0000 x2
O 0.0291 0.3780 0.6391 x12

=====

No. 3
Structure and calculated X-ray diffraction stick pattern of ErTmPuO6 (a DFT-relaxed cell (PBE, Alexandria); Cu Kα).
Peak positions follow from Bragg's law for the DFT cell and can differ from measured ones.

Main lines, sorted by position (2θ from 5° to 70°):
d [Å]	I (rel.)	hkl
4.692	16	0 0 2
3.387	100	1 0 2
2.826	62	1 1 0
2.421	18	1 1 2
2.346	10	0 0 4
2.170	30	2 0 2
1.805	47	1 1 4
1.721	29	2 1 2
1.632	19	3 0 0
1.490	9	1 0 6

Cell and atoms:
Cell: 5.6529 5.6529 9.3836 Å, 90.00 90.00 120.00°
Space group P-31c (No. 163)
One atom of each set of equivalent atoms:
Er 0.0000 0.0000 0.0000 x2
Tm 0.3333 0.6667 0.2500 x2
Pu 0.3333 0.6667 0.7500 x2
O 0.0211 0.3534 0.6333 x12

=====

No. 4
Structure and calculated X-ray diffraction stick pattern of Rb3ErO3 (a DFT-relaxed cell (PBE, Alexandria); Cu Kα).
Peak positions follow from Bragg's law for the DFT cell and can differ from measured ones.

Main lines, sorted by position (2θ from 5° to 70°):
d [Å]	I (rel.)	hkl
5.189	51	1 1 -1
3.360	70	1 1 -2
3.236	60	2 2 0
3.125	100	0 4 0
2.981	22	1 1 2
2.811	27	2 2 1
2.471	30	1 3 2
2.461	26	3 1 -1
2.362	22	2 4 -1
1.734	27	0 2 4

Cell and atoms:
Cell: 7.6658 12.5025 7.3128 Å, 90.00 99.32 90.00°
Space group C2/m (No. 12)
One atom of each set of equivalent atoms:
Rb 0.0000 0.2096 0.0000 x4
Rb 0.0000 0.2604 0.5000 x4
Rb 0.1401 0.5000 0.8581 x4
Er 0.1763 0.0000 0.6499 x4
O 0.1052 0.0000 0.3490 x4
O 0.1948 0.3617 0.2325 x8

=====

No. 5
Structure and calculated X-ray diffraction stick pattern of Rb3ErO3 (a DFT-relaxed cell (PBE, Alexandria); Cu Kα).
Peak positions follow from Bragg's law for the DFT cell and can differ from measured ones.

Main lines, sorted by position (2θ from 5° to 70°):
d [Å]	I (rel.)	hkl
6.288	21	0 1 1
4.982	22	1 1 -1
3.364	22	2 0 -2
3.259	47	1 1 -3
3.198	100	1 2 1
3.162	55	2 0 2
3.063	45	2 1 -2
2.755	51	0 1 4
2.432	21	3 1 -1
1.832	22	3 2 3

Cell and atoms:
Cell: 7.8135 7.4136 11.8975 Å, 90.00 93.86 90.00°
Space group P2_1/c (No. 14)
One atom of each set of equivalent atoms:
Rb 0.0745 0.1231 0.1599 x4
Rb 0.3542 0.1588 0.9201 x4
Rb 0.3792 0.6929 0.8115 x4
Er 0.1593 0.5903 0.0698 x4
O 0.1154 0.0508 0.4097 x4
O 0.2558 0.6466 0.5501 x4
O 0.3001 0.0522 0.6964 x4

=====

No. 6
Structure and calculated X-ray diffraction stick pattern of Rb3ErSb2O8 (a DFT-relaxed cell (PBE, Alexandria); Cu Kα).
Peak positions follow from Bragg's law for the DFT cell and can differ from measured ones.

Main lines, sorted by position (2θ from 5° to 70°):
d [Å]	I (rel.)	hkl
8.089	17	0 0 1
4.477	18	1 0 1
3.232	88	0 1 2
3.104	100	1 1 0
2.239	42	2 0 2
1.816	34	1 2 2
1.792	20	3 0 0
1.694	21	1 1 4
1.552	17	2 2 0
1.399	15	3 1 2

Cell and atoms:
Cell: 6.2072 6.2072 8.0887 Å, 90.00 90.00 120.00°
Space group P-3m1 (No. 164)
One atom of each set of equivalent atoms:
Rb 0.0000 0.0000 0.0000 x1
Rb 0.3333 0.6667 0.6850 x2
Er 0.0000 0.0000 0.5000 x1
Sb 0.3333 0.6667 0.2442 x2
O 0.1688 0.3375 0.3361 x6
O 0.3333 0.6667 0.0135 x2